Sc2Si4Mo3: computed XRD peak list (copper Kα), based on DFT lattice parameters and positions (GGA-PBE).
No peak broadening, texture or thermal motion is included.

Structure:
```
Sc2Si4Mo3
1.0
6.5591 0.0000 0.0000
0.0000 12.6773 0.0000
0.0000 0.0000 6.7910
Sc Si Mo
8 16 12
direct
0.0039 0.0924 0.1699
0.0039 0.4076 0.1699
0.4961 0.5924 0.6699
0.4961 0.9076 0.6699
0.5039 0.0924 0.3301
0.5039 0.4076 0.3301
0.9961 0.5924 0.8301
0.9961 0.9076 0.8301
0.0320 0.2500 0.8759
0.1654 0.0446 0.5376
0.1654 0.4554 0.5376
0.2002 0.7500 0.6405
0.2998 0.2500 0.1405
0.3346 0.5446 0.0377
0.3346 0.9554 0.0377
0.4680 0.7500 0.3759
0.5320 0.2500 0.6241
0.6654 0.0446 0.9624
0.6654 0.4554 0.9624
0.7002 0.7500 0.8595
0.7998 0.2500 0.3595
0.8346 0.5446 0.4624
0.8346 0.9554 0.4624
0.9680 0.7500 0.1241
0.1648 0.2500 0.4946
0.1711 0.6236 0.3350
0.1711 0.8764 0.3350
0.3289 0.1236 0.8350
0.3289 0.3764 0.8350
0.3352 0.7500 0.9946
0.6648 0.2500 0.0054
0.6711 0.6236 0.1650
0.6711 0.8764 0.1650
0.8289 0.1236 0.6650
0.8289 0.3764 0.6650
0.8352 0.7500 0.5054
```

Principal peaks in the range 5° ≤ 2θ ≤ 70°, in order of rising 2θ:
(hkl)	Position (°2θ)	I_rel
0 1 1	14.80	51.5
1 3 2	36.61	70.2
2 3 1	37.14	69.8
0 4 2	38.85	94.1
1 5 1	40.39	45.2
1 4 2	41.33	44.9
2 4 1	41.81	39.5
0 6 0	42.85	100.0
3 0 1	43.48	67.2
3 4 3	66.36	38.3

---

Ca2La2As: computed XRD peak list (copper Kα), based on DFT lattice parameters and positions (GGA-PBE).
No peak broadening, texture or thermal motion is included.

Structure:
```
Ca2La2As
1.0
7.8411 0.0000 0.0000
0.0000 7.8411 0.0000
0.0000 0.0000 6.0551
Ca La As
4 4 2
direct
0.1633 0.3367 0.0000
0.3367 0.8367 0.0000
0.6633 0.1633 0.0000
0.8367 0.6633 0.0000
0.1476 0.6476 0.5000
0.3524 0.1476 0.5000
0.6476 0.8524 0.5000
0.8524 0.3524 0.5000
0.0000 0.0000 0.5000
0.5000 0.5000 0.5000
```

Principal peaks in the range 5° ≤ 2θ ≤ 70°, in order of rising 2θ:
(hkl)	Position (°2θ)	I_rel
0 0 1	14.63	45.7
2 1 0	25.40	15.2
0 0 2	29.45	100.0
3 1 0	36.23	21.8
3 1 1	39.28	26.2
2 2 2	44.27	5.3
3 1 2	47.39	20.0
4 1 1	50.29	6.9
2 1 3	52.30	14.7
5 2 1	65.99	10.4

---

Ce6NpSb10: computed XRD peak list (copper Kα), based on DFT lattice parameters and positions (GGA-PBE).
No peak broadening, texture or thermal motion is included.

Structure:
```
Ce6NpSb10
1.0
9.4461 0.0000 0.0000
-4.7230 8.1805 0.0000
0.0000 0.0000 6.2451
Ce Np Sb
6 1 10
direct
0.0000 0.3833 0.2495
0.0000 0.6167 0.7505
0.3833 0.0000 0.2495
0.3833 0.3833 0.7505
0.6167 0.0000 0.7505
0.6167 0.6167 0.2495
0.0000 0.0000 0.0000
0.0000 0.2689 0.7397
0.0000 0.7311 0.2603
0.2689 0.0000 0.7397
0.2689 0.2689 0.2603
0.3333 0.6667 0.0000
0.3333 0.6667 0.5000
0.6667 0.3333 0.0000
0.6667 0.3333 0.5000
0.7311 0.0000 0.2603
0.7311 0.7311 0.7397
```

Principal peaks in the range 5° ≤ 2θ ≤ 70°, in order of rising 2θ:
(hkl)	Position (°2θ)	I_rel
2 1 1	32.31	71.6
3 0 0	32.84	87.8
2 -1 2	34.43	100.0
4 -1 1	42.39	21.2
2 2 2	48.32	27.7
5 -2 1	50.80	13.2
3 -1 3	53.03	16.6
5 -1 2	59.66	17.2
4 2 1	61.82	13.5
3 0 4	69.36	20.7

---

AgTeAsSe: computed XRD peak list (copper Kα), based on DFT lattice parameters and positions (GGA-PBE).
No peak broadening, texture or thermal motion is included.

Structure:
```
AgTeAsSe
1.0
8.3755 0.0000 0.0000
0.0000 4.6732 0.0000
-2.8731 0.0000 6.3086
Ag Te As Se
2 2 2 2
direct
0.0000 0.0000 0.0000
0.5000 0.5000 0.0000
0.3486 0.5000 0.5493
0.8486 0.0000 0.5493
0.4880 0.0000 0.4602
0.9880 0.5000 0.4602
0.3576 0.0000 0.0819
0.8576 0.5000 0.0819
```

Principal peaks in the range 5° ≤ 2θ ≤ 70°, in order of rising 2θ:
(hkl)	Position (°2θ)	I_rel
2 0 0	23.34	49.1
1 1 -1	23.69	100.0
0 0 2	28.29	60.3
3 1 -1	37.53	72.7
0 2 0	38.53	33.8
1 1 -3	44.16	63.0
3 1 -3	47.39	26.4
3 1 1	47.92	27.2
0 2 2	48.48	26.6
2 2 2	60.06	21.5